1.
The following is a simulated powder X-ray diffraction pattern of Tb3Re2Si4. It was derived from a structure optimized by DFT (PBE), using Cu Ka.
Kinematic intensities with the Lorentz-polarization factor, no thermal factor.

Structure:
```
Tb3Re2Si4
1.0
5.4136 -2.1029 0.0000
5.4136 2.1029 0.0000
-2.7336 0.0000 7.6745
Tb Re Si
3 2 4
Cartesian
0.0000 0.0000 0.0000
3.2814 0.0000 2.3055
4.8121 0.0000 5.3690
1.6836 0.0000 4.9675
6.4099 0.0000 2.7070
-0.0820 0.0000 3.2057
0.5760 0.0000 7.0917
7.5175 0.0000 0.5828
8.1756 0.0000 4.4688
```

Main lines, in order of rising 2θ (2θ from 10° to 80°):
| 2θ (°) | Rel. int. |
| --- | --- |
| 11.53 | 29 |
| 27.00 | 37 |
| 30.57 | 64 |
| 33.90 | 100 |
| 35.10 | 93 |
| 39.62 | 24 |
| 40.87 | 26 |
| 42.26 | 43 |
| 43.01 | 43 |
| 56.67 | 54 |


2.
The following is a simulated powder X-ray diffraction pattern of Cs2PdPtBr6. It was derived from a structure optimized by DFT (PBE), using Cu Ka.
Kinematic intensities with the Lorentz-polarization factor, no thermal factor.

Structure:
```
Cs2PdPtBr6
1.0
3.7965 2.1919 12.7255
-3.7965 2.1919 12.7255
0.0000 -4.3838 12.7255
Cs Pd Pt Br
4 2 2 12
Cartesian
0.0000 0.0000 4.6265
0.0000 0.0000 11.2763
0.0000 0.0000 26.9001
0.0000 0.0000 33.5499
0.0000 0.0000 15.7609
0.0000 0.0000 22.4155
0.0000 0.0000 0.0000
0.0000 0.0000 19.0882
-1.8144 -1.0475 17.5643
0.0000 -2.2354 14.2630
-1.9359 1.1177 14.2630
-1.9359 -1.1177 23.9134
0.0000 -2.0951 20.6121
-1.8144 1.0475 20.6121
1.8144 -1.0475 17.5642
0.0000 2.0951 17.5642
1.9359 1.1177 14.2630
1.9359 -1.1177 23.9134
0.0000 2.2354 23.9134
1.8144 1.0475 20.6122
```

Main lines, in order of rising 2θ (2θ from 10° to 80°):
| 2θ (°) | Rel. int. |
| --- | --- |
| 14.25 | 74 |
| 23.43 | 70 |
| 27.01 | 36 |
| 29.58 | 71 |
| 31.78 | 100 |
| 36.05 | 56 |
| 43.45 | 27 |
| 47.92 | 72 |
| 49.13 | 34 |
| 78.44 | 29 |


3.
The following is a simulated powder X-ray diffraction pattern of SnPt7Rh4. It was derived from a structure optimized by DFT (PBE), using Cu Ka.
Kinematic intensities with the Lorentz-polarization factor, no thermal factor.

Structure:
```
SnPt7Rh4
1.0
5.0230 -2.4392 0.0000
5.0230 2.4392 0.0000
-4.8153 0.0000 8.3329
Sn Pt Rh
1 7 4
Cartesian
0.0000 0.0000 0.0000
-1.0736 0.0000 3.7787
2.4844 0.0000 0.6785
1.6239 0.0000 3.1882
5.0230 0.0000 0.0000
3.6068 0.0000 5.1447
2.7464 0.0000 7.6544
6.3043 0.0000 4.5542
-1.7599 0.0000 6.3887
0.8466 0.0000 5.7187
4.3841 0.0000 2.6142
6.9907 0.0000 1.9442
```

Main lines, in order of rising 2θ (2θ from 10° to 80°):
| 2θ (°) | Rel. int. |
| --- | --- |
| 21.33 | 14 |
| 25.73 | 9 |
| 33.95 | 7 |
| 36.85 | 49 |
| 37.14 | 46 |
| 43.00 | 100 |
| 53.32 | 33 |
| 70.62 | 24 |
| 70.90 | 18 |
| 71.05 | 10 |


4.
The following is a simulated powder X-ray diffraction pattern of Ac2TmNpO6. It was derived from a structure optimized by DFT (PBE), using Cu Ka.
Kinematic intensities with the Lorentz-polarization factor, no thermal factor.

Structure:
```
Ac2TmNpO6
1.0
6.0730 0.0000 0.0000
0.0000 6.2459 0.0000
-6.0709 0.0000 8.6927
Ac Tm Np O
4 2 2 12
Cartesian
-0.0814 0.3112 2.1744
-3.1168 2.8117 6.5208
3.1189 3.4342 2.1719
0.0835 5.9347 6.5183
-3.0355 0.0000 4.3463
0.0000 3.1230 0.0000
3.0365 0.0000 0.0000
0.0011 3.1230 4.3463
-4.9114 1.2675 8.1411
-1.8759 1.8555 3.7947
-4.2623 4.3280 8.1532
-1.2269 5.0409 3.8069
-2.3154 0.3145 6.4700
0.7201 2.8085 2.1236
-0.7180 3.4375 6.5691
2.3175 5.9314 2.2227
1.2290 1.2050 4.8858
4.2644 1.9179 0.5395
1.8780 4.3904 4.8980
4.9135 4.9785 0.5516
```

Main lines, in order of rising 2θ (2θ from 10° to 80°):
| 2θ (°) | Rel. int. |
| --- | --- |
| 28.58 | 22 |
| 29.03 | 100 |
| 29.41 | 24 |
| 41.51 | 32 |
| 50.90 | 15 |
| 51.21 | 10 |
| 51.73 | 12 |
| 51.93 | 23 |
| 60.17 | 14 |
| 68.22 | 11 |


5.
The following is a simulated powder X-ray diffraction pattern of PaGaBi. It was derived from a structure optimized by DFT (PBE), using Cu Ka.
Kinematic intensities with the Lorentz-polarization factor, no thermal factor.

Structure:
```
PaGaBi
1.0
4.5642 0.0000 0.0000
0.0000 15.7600 0.0000
0.0000 0.0000 4.2607
Pa Ga Bi
4 4 4
Cartesian
0.0000 1.3765 1.0652
0.0000 14.3835 3.1955
2.2821 6.5035 3.1955
2.2821 9.2565 1.0652
0.0000 7.0455 1.0652
0.0000 8.7145 3.1955
2.2821 0.8345 3.1955
2.2821 14.9255 1.0652
0.0000 3.9710 3.1955
0.0000 11.7890 1.0652
2.2821 3.9090 1.0652
2.2821 11.8510 3.1955
```

Main lines, in order of rising 2θ (2θ from 10° to 80°):
| 2θ (°) | Rel. int. |
| --- | --- |
| 23.74 | 12 |
| 33.45 | 100 |
| 34.14 | 21 |
| 39.49 | 17 |
| 42.43 | 14 |
| 53.17 | 12 |
| 60.67 | 14 |
| 67.79 | 13 |
| 70.27 | 11 |
| 71.90 | 13 |


6.
The following is a simulated powder X-ray diffraction pattern of TlInNi2. It was derived from a structure optimized by DFT (PBE), using Cu Ka.
Kinematic intensities with the Lorentz-polarization factor, no thermal factor.

Structure:
```
TlInNi2
1.0
6.3894 0.0000 0.0000
0.0000 6.3894 0.0000
0.0000 0.0000 6.3894
Tl In Ni
4 4 8
Cartesian
0.0000 0.0000 0.0000
0.0000 3.1947 3.1947
3.1947 0.0000 3.1947
3.1947 3.1947 0.0000
0.0000 0.0000 3.1947
0.0000 3.1947 0.0000
3.1947 0.0000 0.0000
3.1947 3.1947 3.1947
1.5973 1.5973 1.5973
1.5973 1.5973 4.7920
1.5973 4.7920 1.5973
1.5973 4.7920 4.7920
4.7920 1.5973 1.5973
4.7920 1.5973 4.7920
4.7920 4.7920 1.5973
4.7920 4.7920 4.7920
```

Main lines, in order of rising 2θ (2θ from 10° to 80°):
| 2θ (°) | Rel. int. |
| --- | --- |
| 24.13 | 8 |
| 27.93 | 22 |
| 39.91 | 100 |
| 47.18 | 4 |
| 49.41 | 6 |
| 57.71 | 17 |
| 63.46 | 2 |
| 65.31 | 9 |
| 72.47 | 33 |
| 77.65 | 2 |